[1]
The following is a computed PXRD pattern of Ac2Pr3Y. It was derived from the GGA-PBE geometry in Alexandria, using Cu Kα.
Kinematic intensities with the Lorentz-polarization factor, no thermal factor.

Most intense lines, 2θ from 10° to 90°, in order of falling intensity:
two_theta  d [Å]  I_rel
29.77  3.001  100
52.83  1.733  34
42.63  2.121  19
59.07  1.564  19
38.77  2.323  17
29.83  2.995  17
24.29  3.664  10
75.49  1.259  9
70.10  1.342  9
61.78  1.502  8

abc: 7.328 10.397 6.011
angles: 90.00 90.00 90.00
Atoms (fractional coordinates):
Ac: 0.248 0.166 0.000
Ac: 0.252 0.666 0.500
Ac: 0.748 0.334 0.500
Ac: 0.752 0.834 0.000
Pr: 0.000 0.500 0.000
Pr: 0.250 0.332 0.500
Pr: 0.250 0.832 0.000
Pr: 0.500 0.000 0.500
Pr: 0.750 0.168 0.000
Pr: 0.750 0.668 0.500
Y: 0.000 0.000 0.500
Y: 0.500 0.500 0.000


[2]
The following is a computed PXRD pattern of Ce3Pb2. It was derived from the GGA-PBE geometry in Alexandria, using Cu Kα.
Kinematic intensities with the Lorentz-polarization factor, no thermal factor.

Most intense lines, 2θ from 10° to 90°, in order of falling intensity:
two_theta  d [Å]  I_rel
31.06  2.879  100
32.86  2.726  70
28.88  3.091  66
36.48  2.463  51
47.20  1.925  29
30.95  2.890  28
68.94  1.362  26
23.10  3.851  24
52.57  1.741  23
39.10  2.304  20

abc: 9.234 9.234 9.234
angles: 140.88 140.88 56.52
Atoms (fractional coordinates):
Ce: 0.000 0.000 0.000
Ce: 0.000 0.000 0.500
Ce: 0.000 0.500 0.000
Ce: 0.375 0.625 0.750
Ce: 0.500 0.000 0.500
Ce: 0.625 0.375 0.250
Pb: 0.179 0.429 0.750
Pb: 0.429 0.179 0.250
Pb: 0.571 0.821 0.750
Pb: 0.821 0.571 0.250